This entry pairs a crystal structure of TbScAu6 with its computed powder XRD pattern. Radiation: CuKα. Structure: a cell relaxed with GGA-PBE.

Atomic structure:
```
data_TbScAu6
_space_group_name_H-M_alt 'P m m 2'
_space_group_IT_number 25
_cell_length_a 4.9682
_cell_length_b 6.0991
_cell_length_c 5.0906
_cell_angle_alpha 90.00
_cell_angle_beta 90.00
_cell_angle_gamma 90.00
loop_
_space_group_symop_operation_xyz
'x,y,z'
'-x,-y,z'
'-x,y,z'
'x,-y,z'
loop_
_atom_site_label
_atom_site_type_symbol
_atom_site_fract_x
_atom_site_fract_y
_atom_site_fract_z
Tb1 Tb 0.0000 0.0000 0.0000
Sc1 Sc 0.5000 0.5000 0.6872
Au1 Au 0.0000 0.2627 0.5038
Au2 Au 0.0000 0.5000 0.9965
Au3 Au 0.5000 0.0000 0.6687
Au4 Au 0.5000 0.2559 0.1781
```

Peak list (6 most intense, 2θ from 10° to 90°, sorted by position)
Position (°2θ)	Rel. int.	h k l
34.3	27	0 2 1
36.2	42	2 0 0
38.9	100	1 2 1
39.8	51	1 0 2
66.9	21	3 2 1
74.5	22	2 2 3

This entry pairs a crystal structure of Sc2Te3Au with its computed powder XRD pattern. Radiation: CuKα. Structure: a cell relaxed with GGA-PBE.

Atomic structure:
```
data_Sc2Te3Au
_space_group_name_H-M_alt 'P n m a'
_space_group_IT_number 62
_cell_length_a 7.9831
_cell_length_b 4.0094
_cell_length_c 18.6984
_cell_angle_alpha 90.00
_cell_angle_beta 90.00
_cell_angle_gamma 90.00
loop_
_space_group_symop_operation_xyz
'x,y,z'
'-x,-y,-z'
'-x+1/2,-y,z+1/2'
'x+1/2,y,-z+1/2'
'x+1/2,-y+1/2,-z+1/2'
'-x+1/2,y+1/2,z+1/2'
'-x,y+1/2,-z'
'x,-y+1/2,z'
loop_
_atom_site_label
_atom_site_type_symbol
_atom_site_fract_x
_atom_site_fract_y
_atom_site_fract_z
Sc1 Sc 0.0624 0.2500 0.1993
Sc2 Sc 0.2073 0.7500 0.5045
Te1 Te 0.0507 0.7500 0.0797
Te2 Te 0.1726 0.2500 0.7376
Te3 Te 0.1813 0.2500 0.3921
Au1 Au 0.0700 0.2500 0.5943
```

Peak list (6 most intense, 2θ from 10° to 90°, sorted by position)
Position (°2θ)	Rel. int.	h k l
25.3	35	1 1 1
28.7	68	0 0 6
31.6	35	2 1 0
34.7	40	1 1 5
34.8	100	2 1 3
45.2	36	0 2 0

This entry pairs a crystal structure of Au4Se5 with its computed powder XRD pattern. Radiation: CuKα. Structure: a cell relaxed with GGA-PBE.

Atomic structure:
```
data_Au4Se5
_space_group_name_H-M_alt 'P 6/m m m'
_space_group_IT_number 191
_space_group_name_Hall '-P 6 2'
_cell_length_a 5.4750
_cell_length_b 5.4750
_cell_length_c 8.1827
_cell_angle_alpha 90.00
_cell_angle_beta 90.00
_cell_angle_gamma 120.00
loop_
_atom_site_label
_atom_site_type_symbol
_atom_site_fract_x
_atom_site_fract_y
_atom_site_fract_z
Au1 Au 0.0000 0.0000 0.0000
Au2 Au 0.0000 0.5000 0.5000
Se1 Se 0.0000 0.0000 0.5000
Se2 Se 0.3333 0.6667 0.1388
```

Peak list (6 most intense, 2θ from 10° to 90°, sorted by position)
Position (°2θ)	Rel. int.	h k l
21.7	100	0 0 2
34.5	56	1 1 1
38.0	41	2 0 0
39.6	47	2 0 1
44.2	85	2 0 2
59.7	51	2 0 4

This entry pairs a crystal structure of AuSe2 with its computed powder XRD pattern. Radiation: CuKα. Structure: a cell relaxed with GGA-PBE.

Atomic structure:
Lattice parameters (Å, degrees): 7.9717 7.9717 7.9717 90.00 90.00 90.00
Space group Fd-3m (No. 227, origin choice 2)
One atom of each set of equivalent atoms:
Au 0.1250 0.1250 0.1250 x8
Se 0.0000 0.0000 0.5000 x16

Peak list (6 most intense, 2θ from 10° to 90°, sorted by position)
Position (°2θ)	Rel. int.	h k l
31.7	63	2 2 0
37.4	100	3 1 1
39.1	15	2 2 2
56.6	25	4 2 2
60.3	33	5 1 1
66.3	25	4 4 0

This entry pairs a crystal structure of SmSnAuSe3 with its computed powder XRD pattern. Radiation: CuKα. Structure: a cell relaxed with GGA-PBE.

Atomic structure:
```
data_SmSnAuSe3
_space_group_name_H-M_alt 'P n m a'
_space_group_IT_number 62
_cell_length_a 12.1478
_cell_length_b 4.3184
_cell_length_c 12.5998
_cell_angle_alpha 90.00
_cell_angle_beta 90.00
_cell_angle_gamma 90.00
loop_
_space_group_symop_operation_xyz
'x,y,z'
'-x,-y,-z'
'-x+1/2,-y,z+1/2'
'x+1/2,y,-z+1/2'
'x+1/2,-y+1/2,-z+1/2'
'-x+1/2,y+1/2,z+1/2'
'-x,y+1/2,-z'
'x,-y+1/2,z'
loop_
_atom_site_label
_atom_site_type_symbol
_atom_site_fract_x
_atom_site_fract_y
_atom_site_fract_z
Sm1 Sm 0.0119 0.2500 0.1723
Sn1 Sn 0.1888 0.2500 0.5643
Au1 Au 0.2023 0.7500 0.4003
Se1 Se 0.0128 0.7500 0.3305
Se2 Se 0.0989 0.2500 0.9491
Se3 Se 0.2460 0.7500 0.7057
```

Peak list (6 most intense, 2θ from 10° to 90°, sorted by position)
Position (°2θ)	Rel. int.	h k l
23.1	47	3 0 1
26.1	72	1 1 2
29.7	85	0 1 3
33.2	45	2 1 3
41.9	100	0 2 0
45.2	70	5 1 2

This entry pairs a crystal structure of SmTlAuSe3 with its computed powder XRD pattern. Radiation: CuKα. Structure: a cell relaxed with GGA-PBE.

Atomic structure:
```
data_SmTlAuSe3
_space_group_name_H-M_alt 'C m c m'
_space_group_IT_number 63
_space_group_name_Hall '-C 2c 2'
_cell_length_a 4.0705
_cell_length_b 14.6295
_cell_length_c 10.8726
_cell_angle_alpha 90.00
_cell_angle_beta 90.00
_cell_angle_gamma 90.00
loop_
_atom_site_label
_atom_site_type_symbol
_atom_site_fract_x
_atom_site_fract_y
_atom_site_fract_z
Sm1 Sm 0.0000 0.0000 0.0000
Tl1 Tl 0.0000 0.2421 0.2500
Au1 Au 0.0000 0.4679 0.7500
Se1 Se 0.0000 0.0820 0.7500
Se2 Se 0.0000 0.3616 0.5564
```

Peak list (6 most intense, 2θ from 10° to 90°, sorted by position)
Position (°2θ)	Rel. int.	h k l
29.7	100	1 3 1
33.0	47	0 0 4
33.1	86	1 3 2
38.0	30	1 3 3
41.4	45	0 4 4
44.5	30	2 0 0

This entry pairs a crystal structure of TbSnAuSe3 with its computed powder XRD pattern. Radiation: CuKα. Structure: a cell relaxed with GGA-PBE.

Atomic structure:
```
data_TbSnAuSe3
_space_group_name_H-M_alt 'P n m a'
_space_group_IT_number 62
_cell_length_a 10.6790
_cell_length_b 4.0812
_cell_length_c 13.6671
_cell_angle_alpha 90.00
_cell_angle_beta 90.00
_cell_angle_gamma 90.00
loop_
_space_group_symop_operation_xyz
'x,y,z'
'-x,-y,-z'
'-x+1/2,-y,z+1/2'
'x+1/2,y,-z+1/2'
'x+1/2,-y+1/2,-z+1/2'
'-x+1/2,y+1/2,z+1/2'
'-x,y+1/2,-z'
'x,-y+1/2,z'
loop_
_atom_site_label
_atom_site_type_symbol
_atom_site_fract_x
_atom_site_fract_y
_atom_site_fract_z
Tb1 Tb 0.0174 0.2500 0.2440
Sn1 Sn 0.2239 0.7500 0.5153
Au1 Au 0.2410 0.2500 0.7169
Se1 Se 0.0365 0.2500 0.6073
Se2 Se 0.0712 0.7500 0.0984
Se3 Se 0.2346 0.7500 0.8459
```

Peak list (6 most intense, 2θ from 10° to 90°, sorted by position)
Position (°2θ)	Rel. int.	h k l
13.0	44	0 0 2
28.3	31	2 1 1
30.6	67	1 1 3
33.6	33	4 0 0
33.9	100	2 1 3
44.4	30	0 2 0

This entry pairs a crystal structure of TmSnTeAuSe2 with its computed powder XRD pattern. Radiation: CuKα. Structure: a cell relaxed with GGA-PBE.

Atomic structure:
```
data_TmSnTeAuSe2
_space_group_name_H-M_alt 'C m c m'
_space_group_IT_number 63
_space_group_name_Hall '-C 2c 2'
_cell_length_a 4.0694
_cell_length_b 14.1488
_cell_length_c 11.0153
_cell_angle_alpha 90.00
_cell_angle_beta 90.00
_cell_angle_gamma 90.00
loop_
_atom_site_label
_atom_site_type_symbol
_atom_site_fract_x
_atom_site_fract_y
_atom_site_fract_z
Tm1 Tm 0.0000 0.0000 0.0000
Sn1 Sn 0.0000 0.2003 0.2500
Te1 Te 0.0000 0.1047 0.7500
Au1 Au 0.0000 0.4688 0.7500
Se1 Se 0.0000 0.3624 0.5520
```

Peak list (6 most intense, 2θ from 10° to 90°, sorted by position)
Position (°2θ)	Rel. int.	h k l
12.5	48	0 2 0
30.1	39	1 3 1
32.5	33	0 0 4
33.3	100	1 3 2
42.2	16	1 5 2
44.5	19	2 0 0

This entry pairs a crystal structure of SrTbTe2AuSe with its computed powder XRD pattern. Radiation: CuKα. Structure: a cell relaxed with GGA-PBE.

Atomic structure:
```
data_SrTbTe2AuSe
_space_group_name_H-M_alt 'C m c m'
_space_group_IT_number 63
_space_group_name_Hall '-C 2c 2'
_cell_length_a 4.2691
_cell_length_b 14.8029
_cell_length_c 10.7823
_cell_angle_alpha 90.00
_cell_angle_beta 90.00
_cell_angle_gamma 90.00
loop_
_atom_site_label
_atom_site_type_symbol
_atom_site_fract_x
_atom_site_fract_y
_atom_site_fract_z
Sr1 Sr 0.0000 0.2403 0.2500
Tb1 Tb 0.0000 0.5000 0.0000
Te1 Te 0.0000 0.1483 0.5540
Au1 Au 0.0000 0.0283 0.7500
Se1 Se 0.0000 0.4175 0.7500
```

Peak list (6 most intense, 2θ from 10° to 90°, sorted by position)
Position (°2θ)	Rel. int.	h k l
12.0	51	0 2 0
27.6	32	1 3 0
28.9	49	1 3 1
32.3	100	1 3 2
33.2	45	0 0 4
40.7	33	1 5 2

This entry pairs a crystal structure of Zr3AuSe5 with its computed powder XRD pattern. Radiation: CuKα. Structure: a cell relaxed with GGA-PBE.

Atomic structure:
```
data_Zr3AuSe5
_space_group_name_H-M_alt 'P 6/m m m'
_space_group_IT_number 191
_space_group_name_Hall '-P 6 2'
_cell_length_a 6.2595
_cell_length_b 6.2595
_cell_length_c 7.1779
_cell_angle_alpha 90.00
_cell_angle_beta 90.00
_cell_angle_gamma 120.00
loop_
_atom_site_label
_atom_site_type_symbol
_atom_site_fract_x
_atom_site_fract_y
_atom_site_fract_z
Zr1 Zr 0.0000 0.5000 0.0000
Au1 Au 0.0000 0.0000 0.5000
Se1 Se 0.0000 0.0000 0.0000
Se2 Se 0.3333 0.6667 0.2735
```

Peak list (6 most intense, 2θ from 10° to 90°, sorted by position)
Position (°2θ)	Rel. int.	h k l
20.5	43	1 0 1
28.5	71	1 1 0
29.9	56	1 0 2
31.2	30	1 1 1
33.0	30	2 0 0
41.8	100	2 0 2

This entry pairs a crystal structure of SiAu4 with its computed powder XRD pattern. Radiation: CuKα. Structure: a cell relaxed with GGA-PBE.

Atomic structure:
```
data_SiAu4
_space_group_name_H-M_alt 'I -4 3 m'
_space_group_IT_number 217
_space_group_name_Hall 'I -4 2 3'
_cell_length_a 5.8403
_cell_length_b 5.8403
_cell_length_c 5.8403
_cell_angle_alpha 90.00
_cell_angle_beta 90.00
_cell_angle_gamma 90.00
loop_
_atom_site_label
_atom_site_type_symbol
_atom_site_fract_x
_atom_site_fract_y
_atom_site_fract_z
Si1 Si 0.0000 0.0000 0.0000
Au1 Au 0.2491 0.2491 0.7509
```

Peak list (6 most intense, 2θ from 10° to 90°, sorted by position)
Position (°2θ)	Rel. int.	h k l
30.6	100	2 0 0
43.8	88	2 2 0
54.4	27	2 2 2
63.7	15	4 0 0
72.4	36	4 2 0
80.6	31	4 2 2

This entry pairs a crystal structure of Si2Au9 with its computed powder XRD pattern. Radiation: CuKα. Structure: a cell relaxed with GGA-PBE.

Atomic structure:
```
data_Si2Au9
_space_group_name_H-M_alt 'P 1 21/m 1'
_space_group_IT_number 11
_cell_length_a 6.5118
_cell_length_b 9.1572
_cell_length_c 7.0917
_cell_angle_alpha 90.00
_cell_angle_beta 104.35
_cell_angle_gamma 90.00
loop_
_space_group_symop_operation_xyz
'x,y,z'
'-x,-y,-z'
'-x,y+1/2,-z'
'x,-y+1/2,z'
loop_
_atom_site_label
_atom_site_type_symbol
_atom_site_fract_x
_atom_site_fract_y
_atom_site_fract_z
Si1 Si 0.0374 0.2500 0.0624
Si2 Si 0.1037 0.2500 0.5333
Au1 Au 0.0061 0.0465 0.2954
Au2 Au 0.1674 0.7500 0.2886
Au3 Au 0.3015 0.0595 0.0406
Au4 Au 0.3568 0.7500 0.9829
Au5 Au 0.3898 0.0665 0.6409
Au6 Au 0.4844 0.7500 0.6373
```

Peak list (6 most intense, 2θ from 10° to 90°, sorted by position)
Position (°2θ)	Rel. int.	h k l
32.6	100	1 3 0
33.5	51	2 0 -2
34.1	44	2 0 1
36.5	64	1 3 1
39.3	65	0 0 3
39.7	45	1 3 -2